1.
Structure and computed X-ray powder pattern of Li2VPO5 (the GGA+U geometry in the Materials Project; Cu Kα, 1.54184 Å).

Top 10 peaks for 15° ≤ 2θ ≤ 90°, sorted by position:
4.855 Å, 2θ 18.27, I 315; 3.934 Å, 2θ 22.60, I 280; 3.375 Å, 2θ 26.41, I 304; 3.289 Å, 2θ 27.11, I 1000; 3.277 Å, 2θ 27.21, I 663; 3.258 Å, 2θ 27.37, I 943; 2.677 Å, 2θ 33.47, I 274; 2.442 Å, 2θ 36.81, I 326; 2.109 Å, 2θ 42.87, I 394; 1.687 Å, 2θ 54.37, I 327

Atomic structure:
a b c (Å): 7.195 7.329 7.868
angles (deg): 90.13 90.46 116.17
Sites, in units of the cell vectors:
Li: 0.000 0.000 0.000
Li: 0.000 0.500 0.500
Li: 0.241 0.377 0.942
Li: 0.321 0.861 0.444
Li: 0.358 0.093 0.940
Li: 0.642 0.907 0.060
Li: 0.679 0.139 0.556
Li: 0.759 0.623 0.058
V: 0.005 0.248 0.254
V: 0.493 0.734 0.743
V: 0.507 0.266 0.257
V: 0.995 0.752 0.746
P: 0.246 0.732 0.115
P: 0.255 0.232 0.614
P: 0.745 0.768 0.386
P: 0.754 0.268 0.885
O: 0.083 0.770 0.010
O: 0.086 0.257 0.509
O: 0.149 0.576 0.257
O: 0.157 0.069 0.758
O: 0.236 0.731 0.659
O: 0.241 0.221 0.143
O: 0.373 0.663 0.994
O: 0.386 0.428 0.717
O: 0.390 0.166 0.499
O: 0.405 0.940 0.193
O: 0.595 0.060 0.807
O: 0.610 0.834 0.501
O: 0.614 0.572 0.283
O: 0.627 0.337 0.006
O: 0.759 0.779 0.857
O: 0.764 0.269 0.341
O: 0.843 0.931 0.242
O: 0.851 0.424 0.743
O: 0.914 0.743 0.491
O: 0.917 0.230 0.990

***

2.
Structure and computed X-ray powder pattern of LiVP3O9 (the GGA+U geometry in the Materials Project; Cu Kα, 1.54184 Å).

Top 10 peaks for 15° ≤ 2θ ≤ 90°, sorted by position:
4.391 Å, 2θ 20.22, I 222; 3.902 Å, 2θ 22.79, I 1000; 3.874 Å, 2θ 22.96, I 749; 3.561 Å, 2θ 25.01, I 210; 3.544 Å, 2θ 25.13, I 236; 3.505 Å, 2θ 25.41, I 409; 2.876 Å, 2θ 31.10, I 230; 2.775 Å, 2θ 32.26, I 313; 2.745 Å, 2θ 32.62, I 448; 2.700 Å, 2θ 33.18, I 372

Atomic structure:
a b c (Å): 8.511 8.700 8.782
angles (deg): 90.00 90.00 90.00
Sites, in units of the cell vectors:
Li: 0.151 0.134 0.115
Li: 0.349 0.866 0.615
Li: 0.651 0.366 0.885
Li: 0.849 0.634 0.385
V: 0.130 0.855 0.340
V: 0.370 0.145 0.840
V: 0.630 0.645 0.660
V: 0.870 0.355 0.160
P: 0.029 0.321 0.818
P: 0.188 0.479 0.310
P: 0.202 0.808 0.939
P: 0.298 0.192 0.439
P: 0.312 0.521 0.810
P: 0.471 0.679 0.318
P: 0.529 0.179 0.182
P: 0.688 0.021 0.690
P: 0.702 0.692 0.061
P: 0.798 0.308 0.561
P: 0.812 0.979 0.190
P: 0.971 0.821 0.682
O: 0.041 0.774 0.846
O: 0.091 0.612 0.366
O: 0.104 0.873 0.581
O: 0.123 0.385 0.180
O: 0.131 0.193 0.878
O: 0.138 0.463 0.765
O: 0.160 0.860 0.096
O: 0.191 0.094 0.343
O: 0.227 0.364 0.450
O: 0.273 0.636 0.950
O: 0.309 0.906 0.843
O: 0.340 0.140 0.596
O: 0.362 0.537 0.265
O: 0.369 0.807 0.378
O: 0.377 0.615 0.680
O: 0.396 0.127 0.081
O: 0.409 0.388 0.866
O: 0.459 0.226 0.346
O: 0.541 0.726 0.154
O: 0.591 0.888 0.634
O: 0.604 0.627 0.419
O: 0.623 0.115 0.820
O: 0.631 0.307 0.122
O: 0.638 0.037 0.235
O: 0.660 0.640 0.904
O: 0.691 0.406 0.657
O: 0.727 0.136 0.550
O: 0.773 0.864 0.050
O: 0.809 0.594 0.157
O: 0.840 0.360 0.404
O: 0.862 0.963 0.735
O: 0.869 0.693 0.622
O: 0.877 0.885 0.320
O: 0.896 0.373 0.919
O: 0.909 0.112 0.134
O: 0.959 0.274 0.654

***

Copy entry 2 word for word.
Structure and computed X-ray powder pattern of LiVP3O9 (the GGA+U geometry in the Materials Project; Cu Kα, 1.54184 Å).

Top 10 peaks for 15° ≤ 2θ ≤ 90°, sorted by position:
4.391 Å, 2θ 20.22, I 222; 3.902 Å, 2θ 22.79, I 1000; 3.874 Å, 2θ 22.96, I 749; 3.561 Å, 2θ 25.01, I 210; 3.544 Å, 2θ 25.13, I 236; 3.505 Å, 2θ 25.41, I 409; 2.876 Å, 2θ 31.10, I 230; 2.775 Å, 2θ 32.26, I 313; 2.745 Å, 2θ 32.62, I 448; 2.700 Å, 2θ 33.18, I 372

Atomic structure:
a b c (Å): 8.511 8.700 8.782
angles (deg): 90.00 90.00 90.00
Sites, in units of the cell vectors:
Li: 0.151 0.134 0.115
Li: 0.349 0.866 0.615
Li: 0.651 0.366 0.885
Li: 0.849 0.634 0.385
V: 0.130 0.855 0.340
V: 0.370 0.145 0.840
V: 0.630 0.645 0.660
V: 0.870 0.355 0.160
P: 0.029 0.321 0.818
P: 0.188 0.479 0.310
P: 0.202 0.808 0.939
P: 0.298 0.192 0.439
P: 0.312 0.521 0.810
P: 0.471 0.679 0.318
P: 0.529 0.179 0.182
P: 0.688 0.021 0.690
P: 0.702 0.692 0.061
P: 0.798 0.308 0.561
P: 0.812 0.979 0.190
P: 0.971 0.821 0.682
O: 0.041 0.774 0.846
O: 0.091 0.612 0.366
O: 0.104 0.873 0.581
O: 0.123 0.385 0.180
O: 0.131 0.193 0.878
O: 0.138 0.463 0.765
O: 0.160 0.860 0.096
O: 0.191 0.094 0.343
O: 0.227 0.364 0.450
O: 0.273 0.636 0.950
O: 0.309 0.906 0.843
O: 0.340 0.140 0.596
O: 0.362 0.537 0.265
O: 0.369 0.807 0.378
O: 0.377 0.615 0.680
O: 0.396 0.127 0.081
O: 0.409 0.388 0.866
O: 0.459 0.226 0.346
O: 0.541 0.726 0.154
O: 0.591 0.888 0.634
O: 0.604 0.627 0.419
O: 0.623 0.115 0.820
O: 0.631 0.307 0.122
O: 0.638 0.037 0.235
O: 0.660 0.640 0.904
O: 0.691 0.406 0.657
O: 0.727 0.136 0.550
O: 0.773 0.864 0.050
O: 0.809 0.594 0.157
O: 0.840 0.360 0.404
O: 0.862 0.963 0.735
O: 0.869 0.693 0.622
O: 0.877 0.885 0.320
O: 0.896 0.373 0.919
O: 0.909 0.112 0.134
O: 0.959 0.274 0.654